This entry pairs a crystal structure of Mg14TiNb with its computed X-ray diffraction stick pattern. Radiation: CuKα. Structure: a cell relaxed with PBE.
Kinematic intensities with the Lorentz-polarization factor, no thermal factor.

Cell lengths 6.3280, 6.3280, 10.0235 Å; angles 90.00, 90.00, 120.00 degrees
Space group P-6m2 (No. 187)
Symmetry-distinct sites (fractional):
Mg (0.0000, 0.0000, 0.2500) x2
Mg (0.0133, 0.5067, 0.2467) x6
Mg (0.3358, 0.1679, 0.0000) x3
Mg (0.3370, 0.1685, 0.5000) x3
Ti (0.3333, 0.6667, 0.5000) x1
Nb (0.3333, 0.6667, 0.0000) x1

Peak list (10 most intense, 10° ≤ 2θ ≤ 90°, low angle first)
index  2theta  I (rel.)
1 0 0  16.17  22
1 0 2  24.06  12
2 0 0  32.68  27
0 0 4  35.83  25
2 0 2  37.40  100
2 0 4  49.28  16
2 2 0  58.33  17
2 0 6  65.43  18
2 2 4  70.38  19
4 0 2  71.37  13